Record 1
Diffraction record for ZrNbCrW2. The X-ray powder pattern is calculated, not measured: it uses the GGA-PBE geometry in Alexandria and Cu Kα, 1.54184 Å.
Neutral-atom scattering factors, no anomalous dispersion.

Principal peaks in the range 15° ≤ 2θ ≤ 90°, in order of falling intensity:
2θ = 33.31°, intensity 100
2θ = 37.22°, intensity 77
2θ = 56.87°, intensity 45
2θ = 20.36°, intensity 44
2θ = 64.63°, intensity 29
2θ = 41.40°, intensity 29
2θ = 42.79°, intensity 27
2θ = 53.65°, intensity 27
2θ = 69.95°, intensity 24
2θ = 27.55°, intensity 17

Crystal structure
Cell lengths 4.832, 4.832, 4.362 Å; angles 90.00, 90.00, 90.00 degrees
Sites, in units of the cell vectors:
1 Zr 0.000 0.000 0.000
2 Nb 0.500 0.500 0.500
3 Cr 0.000 0.000 0.500
4 W 0.000 0.500 0.000
5 W 0.500 0.000 0.000

***

Record 2
Diffraction record for PmPtCl. The X-ray powder pattern is calculated, not measured: it uses the GGA-PBE geometry in Alexandria and Cu Kα, 1.54184 Å.
Neutral-atom scattering factors, no anomalous dispersion.

Principal peaks in the range 15° ≤ 2θ ≤ 90°, in order of falling intensity:
2θ = 31.22°, intensity 100
2θ = 42.92°, intensity 45
2θ = 37.12°, intensity 32
2θ = 43.77°, intensity 27
2θ = 46.48°, intensity 26
2θ = 26.79°, intensity 23
2θ = 54.02°, intensity 21
2θ = 71.35°, intensity 18
2θ = 54.32°, intensity 13
2θ = 81.19°, intensity 10

Crystal structure
Cell lengths 11.066, 11.066, 11.066 Å; angles 21.96, 21.96, 21.96 degrees
Sites, in units of the cell vectors:
1 Pm 0.065 0.065 0.065
2 Pm 0.935 0.935 0.935
3 Pt 0.350 0.350 0.350
4 Pt 0.650 0.650 0.650
5 Cl 0.217 0.217 0.217
6 Cl 0.783 0.783 0.783

***

Record 3
Diffraction record for SrGaSbO6. The X-ray powder pattern is calculated, not measured: it uses the GGA-PBE geometry in Alexandria and Cu Kα, 1.54184 Å.
Neutral-atom scattering factors, no anomalous dispersion.

Principal peaks in the range 15° ≤ 2θ ≤ 90°, in order of falling intensity:
2θ = 25.37°, intensity 100
2θ = 47.90°, intensity 50
2θ = 33.74°, intensity 36
2θ = 16.32°, intensity 26
2θ = 55.49°, intensity 22
2θ = 42.69°, intensity 22
2θ = 60.36°, intensity 15
2θ = 37.70°, intensity 14
2θ = 54.46°, intensity 10
2θ = 80.51°, intensity 10

Crystal structure
Cell lengths 5.312, 5.312, 10.863 Å; angles 90.00, 90.00, 120.00 degrees
Sites, in units of the cell vectors:
1 Sr 0.000 0.000 0.000
2 Sr 0.000 0.000 0.500
3 Ga 0.333 0.667 0.250
4 Ga 0.667 0.333 0.750
5 Sb 0.333 0.667 0.750
6 Sb 0.667 0.333 0.250
7 O 0.001 0.370 0.649
8 O 0.001 0.631 0.851
9 O 0.369 0.370 0.851
10 O 0.369 0.999 0.649
11 O 0.370 0.001 0.149
12 O 0.370 0.369 0.351
13 O 0.630 0.631 0.649
14 O 0.630 0.999 0.851
15 O 0.631 0.001 0.351
16 O 0.631 0.630 0.149
17 O 0.999 0.369 0.149
18 O 0.999 0.630 0.351

***

Record 4
Diffraction record for CaGd2O4. The X-ray powder pattern is calculated, not measured: it uses the GGA-PBE geometry in Alexandria and Cu Kα, 1.54184 Å.
Neutral-atom scattering factors, no anomalous dispersion.

Principal peaks in the range 15° ≤ 2θ ≤ 90°, in order of falling intensity:
2θ = 31.29°, intensity 100
2θ = 30.80°, intensity 85
2θ = 31.57°, intensity 53
2θ = 44.06°, intensity 47
2θ = 29.93°, intensity 46
2θ = 17.31°, intensity 39
2θ = 44.90°, intensity 28
2θ = 17.80°, intensity 27
2θ = 54.00°, intensity 23
2θ = 62.72°, intensity 23

Crystal structure
Cell lengths 9.967, 3.445, 11.942 Å; angles 90.00, 90.00, 90.00 degrees
Sites, in units of the cell vectors:
1 Ca 0.245 0.250 0.145
2 Ca 0.255 0.750 0.645
3 Ca 0.745 0.250 0.355
4 Ca 0.755 0.750 0.855
5 Gd 0.071 0.250 0.885
6 Gd 0.089 0.250 0.389
7 Gd 0.411 0.750 0.889
8 Gd 0.429 0.750 0.385
9 Gd 0.571 0.250 0.615
10 Gd 0.589 0.250 0.111
11 Gd 0.911 0.750 0.611
12 Gd 0.929 0.750 0.115
13 O 0.012 0.250 0.209
14 O 0.072 0.250 0.585
15 O 0.141 0.750 0.016
16 O 0.221 0.750 0.310
17 O 0.279 0.250 0.810
18 O 0.359 0.250 0.516
19 O 0.428 0.750 0.085
20 O 0.488 0.750 0.709
21 O 0.512 0.250 0.291
22 O 0.572 0.250 0.915
23 O 0.641 0.750 0.484
24 O 0.721 0.750 0.190
25 O 0.779 0.250 0.690
26 O 0.859 0.250 0.984
27 O 0.928 0.750 0.415
28 O 0.988 0.750 0.791

***

Record 5
Diffraction record for FeSi4Cl. The X-ray powder pattern is calculated, not measured: it uses the GGA-PBE geometry in Alexandria and Cu Kα, 1.54184 Å.
Neutral-atom scattering factors, no anomalous dispersion.

Principal peaks in the range 15° ≤ 2θ ≤ 90°, in order of falling intensity:
2θ = 41.31°, intensity 100
2θ = 35.01°, intensity 47
2θ = 67.09°, intensity 29
2θ = 43.23°, intensity 25
2θ = 73.96°, intensity 23
2θ = 62.80°, intensity 15
2θ = 88.43°, intensity 10
2θ = 89.72°, intensity 10
2θ = 84.53°, intensity 6
2θ = 24.56°, intensity 4

Crystal structure
Cell lengths 5.126, 5.126, 5.126 Å; angles 60.00, 60.00, 60.00 degrees
Sites, in units of the cell vectors:
1 Fe 0.000 0.000 0.000
2 Si 0.129 0.624 0.624
3 Si 0.624 0.129 0.624
4 Si 0.624 0.624 0.129
5 Si 0.624 0.624 0.624
6 Cl 0.250 0.250 0.250

***

Record 6
Diffraction record for Nd8HoEr2. The X-ray powder pattern is calculated, not measured: it uses the GGA-PBE geometry in Alexandria and Cu Kα, 1.54184 Å.
Neutral-atom scattering factors, no anomalous dispersion.

Principal peaks in the range 15° ≤ 2θ ≤ 90°, in order of falling intensity:
2θ = 30.99°, intensity 100
2θ = 31.14°, intensity 85
2θ = 32.65°, intensity 45
2θ = 32.46°, intensity 44
2θ = 46.71°, intensity 32
2θ = 62.32°, intensity 27
2θ = 56.89°, intensity 19
2θ = 57.23°, intensity 18
2θ = 57.33°, intensity 15
2θ = 42.22°, intensity 15

Crystal structure
Cell lengths 8.562, 8.562, 5.485 Å; angles 90.00, 90.00, 104.88 degrees
Sites, in units of the cell vectors:
1 Nd 0.165 0.165 0.000
2 Nd 0.200 0.470 0.500
3 Nd 0.247 0.753 0.000
4 Nd 0.470 0.200 0.500
5 Nd 0.530 0.800 0.500
6 Nd 0.753 0.247 0.000
7 Nd 0.800 0.530 0.500
8 Nd 0.835 0.835 0.000
9 Ho 0.500 0.500 0.000
10 Er 0.119 0.881 0.500
11 Er 0.881 0.119 0.500

***

Record 7
Diffraction record for Ce2Tm3PuTe6. The X-ray powder pattern is calculated, not measured: it uses the GGA-PBE geometry in Alexandria and Cu Kα, 1.54184 Å.
Neutral-atom scattering factors, no anomalous dispersion.

Principal peaks in the range 15° ≤ 2θ ≤ 90°, in order of falling intensity:
2θ = 28.79°, intensity 100
2θ = 40.76°, intensity 39
2θ = 41.56°, intensity 37
2θ = 51.34°, intensity 20
2θ = 66.96°, intensity 17
2θ = 59.62°, intensity 13
2θ = 68.07°, intensity 12
2θ = 75.26°, intensity 8
2θ = 49.98°, intensity 7
2θ = 68.15°, intensity 6

Crystal structure
Cell lengths 9.865, 9.865, 8.864 Å; angles 104.40, 104.40, 25.43 degrees
Sites, in units of the cell vectors:
1 Ce 0.167 0.167 0.335
2 Ce 0.833 0.833 0.665
3 Tm 0.167 0.167 0.834
4 Tm 0.500 0.500 0.500
5 Tm 0.833 0.833 0.166
6 Pu 0.500 0.500 0.000
7 Te 0.003 0.003 0.745
8 Te 0.331 0.331 0.926
9 Te 0.337 0.337 0.407
10 Te 0.663 0.663 0.593
11 Te 0.669 0.669 0.074
12 Te 0.997 0.997 0.255

***

Record 8
Diffraction record for SmPa2ZnN5. The X-ray powder pattern is calculated, not measured: it uses the GGA-PBE geometry in Alexandria and Cu Kα, 1.54184 Å.
Neutral-atom scattering factors, no anomalous dispersion.

Principal peaks in the range 15° ≤ 2θ ≤ 90°, in order of falling intensity:
2θ = 32.18°, intensity 100
2θ = 27.38°, intensity 81
2θ = 35.70°, intensity 80
2θ = 59.62°, intensity 43
2θ = 30.70°, intensity 42
2θ = 26.09°, intensity 41
2θ = 27.55°, intensity 37
2θ = 30.91°, intensity 33
2θ = 15.90°, intensity 30
2θ = 26.34°, intensity 29

Crystal structure
Cell lengths 6.994, 6.994, 11.148 Å; angles 90.00, 90.00, 150.77 degrees
Sites, in units of the cell vectors:
1 Sm 0.173 0.827 0.500
2 Sm 0.827 0.173 0.000
3 Pa 0.111 0.889 0.786
4 Pa 0.157 0.843 0.199
5 Pa 0.843 0.157 0.699
6 Pa 0.889 0.111 0.286
7 Zn 0.477 0.523 0.530
8 Zn 0.523 0.477 0.030
9 N 0.016 0.984 0.613
10 N 0.290 0.710 0.836
11 N 0.318 0.682 0.171
12 N 0.332 0.668 0.579
13 N 0.475 0.525 0.349
14 N 0.525 0.475 0.849
15 N 0.668 0.332 0.079
16 N 0.682 0.318 0.671
17 N 0.710 0.290 0.336
18 N 0.984 0.016 0.113

***

Record 9
Diffraction record for Cd4Ag8Sb. The X-ray powder pattern is calculated, not measured: it uses the GGA-PBE geometry in Alexandria and Cu Kα, 1.54184 Å.
Neutral-atom scattering factors, no anomalous dispersion.

Principal peaks in the range 15° ≤ 2θ ≤ 90°, in order of falling intensity:
2θ = 38.55°, intensity 100
2θ = 35.23°, intensity 96
2θ = 40.82°, intensity 35
2θ = 43.45°, intensity 33
2θ = 43.94°, intensity 33
2θ = 63.51°, intensity 20
2θ = 61.52°, intensity 20
2θ = 61.14°, intensity 20
2θ = 78.30°, intensity 19
2θ = 74.88°, intensity 15

Crystal structure
Cell lengths 4.121, 4.165, 15.474 Å; angles 90.00, 90.00, 90.00 degrees
Sites, in units of the cell vectors:
1 Cd 0.000 0.000 0.000
2 Cd 0.000 0.500 0.150
3 Cd 0.500 0.000 0.425
4 Cd 0.500 0.500 0.590
5 Ag 0.000 0.000 0.289
6 Ag 0.000 0.000 0.560
7 Ag 0.000 0.500 0.428
8 Ag 0.000 0.500 0.862
9 Ag 0.500 0.000 0.146
10 Ag 0.500 0.000 0.863
11 Ag 0.500 0.500 0.005
12 Ag 0.500 0.500 0.286
13 Sb 0.000 0.000 0.737

***

Record 10
Diffraction record for Na3LiTi2F12. The X-ray powder pattern is calculated, not measured: it uses the GGA-PBE geometry in Alexandria and Cu Kα, 1.54184 Å.
Neutral-atom scattering factors, no anomalous dispersion.

Principal peaks in the range 15° ≤ 2θ ≤ 90°, in order of falling intensity:
2θ = 19.62°, intensity 100
2θ = 38.30°, intensity 53
2θ = 24.20°, intensity 50
2θ = 49.23°, intensity 43
2θ = 31.18°, intensity 34
2θ = 49.57°, intensity 26
2θ = 19.37°, intensity 23
2θ = 26.10°, intensity 21
2θ = 61.49°, intensity 20
2θ = 38.71°, intensity 17

Crystal structure
Cell lengths 5.202, 5.202, 18.332 Å; angles 90.00, 90.00, 90.00 degrees
Sites, in units of the cell vectors:
1 Na 0.000 0.000 0.000
2 Na 0.000 0.500 0.190
3 Na 0.000 0.500 0.690
4 Na 0.500 0.000 0.310
5 Na 0.500 0.000 0.810
6 Na 0.500 0.500 0.500
7 Li 0.000 0.000 0.500
8 Li 0.500 0.500 0.000
9 Ti 0.000 0.500 0.375
10 Ti 0.000 0.500 0.875
11 Ti 0.500 0.000 0.125
12 Ti 0.500 0.000 0.625
13 F 0.150 0.702 0.302
14 F 0.152 0.715 0.449
15 F 0.202 0.650 0.802
16 F 0.208 0.789 0.116
17 F 0.211 0.208 0.884
18 F 0.215 0.652 0.949
19 F 0.285 0.152 0.551
20 F 0.289 0.708 0.616
21 F 0.292 0.289 0.384
22 F 0.298 0.150 0.698
23 F 0.348 0.215 0.051
24 F 0.350 0.202 0.198
25 F 0.650 0.798 0.198
26 F 0.652 0.785 0.051
27 F 0.702 0.850 0.698
28 F 0.708 0.711 0.384
29 F 0.711 0.292 0.616
30 F 0.715 0.848 0.551
31 F 0.785 0.348 0.949
32 F 0.789 0.792 0.884
33 F 0.792 0.211 0.116
34 F 0.798 0.350 0.802
35 F 0.848 0.285 0.449
36 F 0.850 0.298 0.302